Record 1
This entry pairs a crystal structure of Er3Ni7B2 with its computed powder diffractogram. Radiation: λ = 1.5418 Å (Cu Kα). Structure: a crystal structure in Alexandria, relaxed with PBE.
Intensities are scaled so that the largest is 1000.

Structure:
Unit cell a=5.0500 b=5.0500 c=14.2898 alpha=90.00 beta=90.00 gamma=120.00
Space group P6_3/mmc (No. 194)
Asymmetric unit:
1 Er 0.3333 0.6667 0.0324 (multiplicity 4)
2 Er 0.3333 0.6667 0.2500 (multiplicity 2)
3 Ni 0.0000 0.0000 0.0000 (multiplicity 2)
4 Ni 0.1657 0.3313 0.6487 (multiplicity 12)
5 B 0.0000 0.0000 0.2500 (multiplicity 2)
6 B 0.3333 0.6667 0.7500 (multiplicity 2)

Main lines, low angle first (10 to 90 degrees two-theta):
| index | d (Å) | I/Imax |
| --- | --- | --- |
| 1 1 0 | 2.525 | 480 |
| 1 0 5 | 2.392 | 1000 |
| 0 0 6 | 2.381 | 272 |
| 2 0 0 | 2.187 | 223 |
| 2 0 1 | 2.162 | 668 |
| 1 1 4 | 2.062 | 897 |
| 0 0 10 | 1.431 | 456 |
| 3 0 4 | 1.350 | 220 |
| 2 0 9 | 1.285 | 286 |
| 2 2 0 | 1.262 | 238 |

---

Record 2
This entry pairs a crystal structure of Rb3PaB2O8 with its computed powder diffractogram. Radiation: λ = 1.5418 Å (Cu Kα). Structure: a crystal structure in Alexandria, relaxed with PBE.
Intensities are scaled so that the largest is 1000.

Structure:
Unit cell a=5.5348 b=5.5348 c=8.2383 alpha=90.00 beta=90.00 gamma=120.00
Space group P-3m1 (No. 164)
Asymmetric unit:
1 Rb 0.0000 0.0000 0.0000 (multiplicity 1)
2 Rb 0.3333 0.6667 0.7709 (multiplicity 2)
3 Pa 0.0000 0.0000 0.5000 (multiplicity 1)
4 B 0.3333 0.6667 0.2897 (multiplicity 2)
5 O 0.1854 0.3707 0.3469 (multiplicity 6)
6 O 0.3333 0.6667 0.1139 (multiplicity 2)

Main lines, low angle first (10 to 90 degrees two-theta):
| index | d (Å) | I/Imax |
| --- | --- | --- |
| 0 0 1 | 8.238 | 225 |
| 1 0 0 | 4.793 | 342 |
| 0 1 1 | 4.143 | 399 |
| 1 0 2 | 3.124 | 1000 |
| 1 1 0 | 2.767 | 571 |
| 2 0 1 | 2.300 | 193 |
| 2 0 2 | 2.072 | 341 |
| 2 1 2 | 1.658 | 294 |
| 1 1 4 | 1.652 | 203 |
| 1 3 2 | 1.265 | 130 |

---

Record 3
This entry pairs a crystal structure of Ho3Ru2 with its computed powder diffractogram. Radiation: λ = 1.5418 Å (Cu Kα). Structure: a crystal structure in Alexandria, relaxed with PBE.
Intensities are scaled so that the largest is 1000.

Structure:
Unit cell a=7.5870 b=7.5870 c=4.6909 alpha=90.00 beta=90.00 gamma=120.00
Space group P6_3/m (No. 176)
Asymmetric unit:
1 Ho 0.0792 0.3844 0.2500 (multiplicity 6)
2 Ru 0.0000 0.0000 0.0000 (multiplicity 2)
3 Ru 0.3333 0.6667 0.7500 (multiplicity 2)

Main lines, low angle first (10 to 90 degrees two-theta):
| index | d (Å) | I/Imax |
| --- | --- | --- |
| 1 1 1 | 2.950 | 1000 |
| 2 0 1 | 2.691 | 517 |
| 1 2 0 | 2.483 | 461 |
| 0 0 2 | 2.345 | 174 |
| 1 0 2 | 2.209 | 130 |
| 3 0 0 | 2.192 | 597 |
| 2 1 2 | 1.705 | 242 |
| 1 1 3 | 1.446 | 117 |
| 3 1 2 | 1.439 | 112 |
| 2 3 1 | 1.435 | 306 |

---

Record 4
This entry pairs a crystal structure of Rb2Y2US6 with its computed powder diffractogram. Radiation: λ = 1.5418 Å (Cu Kα). Structure: a crystal structure in Alexandria, relaxed with PBE.
Intensities are scaled so that the largest is 1000.

Structure:
Unit cell a=6.9904 b=12.0956 c=8.2101 alpha=90.00 beta=106.72 gamma=90.00
Space group C2/m (No. 12)
Asymmetric unit:
1 Rb 0.0000 0.1686 0.0000 (multiplicity 4)
2 Y 0.0000 0.3335 0.5000 (multiplicity 4)
3 U 0.0000 0.0000 0.5000 (multiplicity 2)
4 S 0.2261 0.1648 0.6863 (multiplicity 8)
5 S 0.2368 0.5000 0.6858 (multiplicity 4)

Main lines, low angle first (10 to 90 degrees two-theta):
| index | d (Å) | I/Imax |
| --- | --- | --- |
| 0 0 1 | 7.863 | 543 |
| 1 1 0 | 5.857 | 266 |
| 0 2 1 | 4.794 | 173 |
| 0 0 2 | 3.931 | 206 |
| 1 3 -1 | 3.350 | 320 |
| 1 3 1 | 3.006 | 1000 |
| 1 3 -3 | 2.255 | 251 |
| 0 6 0 | 2.017 | 313 |
| 1 3 3 | 1.953 | 154 |
| 4 0 0 | 1.675 | 182 |

---

Record 5
This entry pairs a crystal structure of AsAu with its computed powder diffractogram. Radiation: λ = 1.5418 Å (Cu Kα). Structure: a crystal structure in Alexandria, relaxed with PBE.
Intensities are scaled so that the largest is 1000.

Structure:
Unit cell a=5.0317 b=2.8325 c=5.5594 alpha=90.00 beta=90.00 gamma=90.00
Space group Pmma (No. 51)
Asymmetric unit:
1 As 0.2500 0.0000 0.1687 (multiplicity 2)
2 Au 0.2500 0.0000 0.6608 (multiplicity 2)

Main lines, low angle first (10 to 90 degrees two-theta):
| index | d (Å) | I/Imax |
| --- | --- | --- |
| 0 0 1 | 5.559 | 275 |
| 1 0 1 | 3.731 | 493 |
| 0 1 0 | 2.832 | 962 |
| 2 0 0 | 2.516 | 697 |
| 1 0 2 | 2.433 | 1000 |
| 1 1 1 | 2.256 | 275 |
| 2 1 0 | 1.881 | 592 |
| 1 1 2 | 1.846 | 879 |
| 3 1 2 | 1.281 | 268 |
| 1 2 2 | 1.224 | 233 |

---

Record 6
This entry pairs a crystal structure of Tb8Pr2Mg with its computed powder diffractogram. Radiation: λ = 1.5418 Å (Cu Kα). Structure: a crystal structure in Alexandria, relaxed with PBE.
Intensities are scaled so that the largest is 1000.

Structure:
Unit cell a=16.3324 b=6.6778 c=6.7379 alpha=90.00 beta=101.86 gamma=90.00
Space group C2/m (No. 12)
Asymmetric unit:
1 Tb 0.0807 0.2387 0.3862 (multiplicity 8)
2 Tb 0.0940 0.0000 0.9174 (multiplicity 4)
3 Tb 0.2452 0.5000 0.3117 (multiplicity 4)
4 Pr 0.1855 0.5000 0.7921 (multiplicity 4)
5 Mg 0.0000 0.5000 0.0000 (multiplicity 2)

Main lines, low angle first (10 to 90 degrees two-theta):
| index | d (Å) | I/Imax |
| --- | --- | --- |
| 2 2 0 | 3.081 | 300 |
| 0 2 1 | 2.979 | 300 |
| 5 1 0 | 2.883 | 264 |
| 2 0 2 | 2.846 | 1000 |
| 3 1 -2 | 2.814 | 386 |
| 2 2 1 | 2.710 | 554 |
| 6 0 0 | 2.664 | 238 |
| 4 2 -1 | 2.502 | 192 |
| 4 2 3 | 1.570 | 225 |
| 2 4 2 | 1.440 | 198 |

---

Record 7
This entry pairs a crystal structure of Zr3BeNi with its computed powder diffractogram. Radiation: λ = 1.5418 Å (Cu Kα). Structure: a crystal structure in Alexandria, relaxed with PBE.
Intensities are scaled so that the largest is 1000.

Structure:
Unit cell a=4.8105 b=4.8105 c=4.8105 alpha=90.00 beta=90.00 gamma=90.00
Space group Pm-3m (No. 221)
Asymmetric unit:
1 Zr 0.0000 0.0000 0.5000 (multiplicity 3)
2 Be 0.5000 0.5000 0.5000 (multiplicity 1)
3 Ni 0.0000 0.0000 0.0000 (multiplicity 1)

Main lines, low angle first (10 to 90 degrees two-theta):
| index | d (Å) | I/Imax |
| --- | --- | --- |
| 1 0 0 | 4.810 | 1000 |
| 1 1 1 | 2.777 | 693 |
| 2 0 0 | 2.405 | 873 |
| 2 1 0 | 2.151 | 472 |
| 2 2 0 | 1.701 | 585 |
| 3 0 0 | 1.603 | 225 |
| 3 1 1 | 1.450 | 273 |
| 2 2 2 | 1.389 | 193 |
| 4 1 0 | 1.167 | 119 |
| 3 3 1 | 1.104 | 116 |

---

Record 8
This entry pairs a crystal structure of Rb2RuNF6 with its computed powder diffractogram. Radiation: λ = 1.5418 Å (Cu Kα). Structure: a crystal structure in Alexandria, relaxed with PBE.
Intensities are scaled so that the largest is 1000.

Structure:
Unit cell a=5.6946 b=5.6946 c=10.0848 alpha=90.00 beta=90.00 gamma=90.00
Space group I4/mmm (No. 139)
Asymmetric unit:
1 Rb 0.0000 0.5000 0.2500 (multiplicity 4)
2 Ru 0.0000 0.0000 0.0000 (multiplicity 2)
3 N 0.0000 0.0000 0.5000 (multiplicity 2)
4 F 0.0000 0.0000 0.1972 (multiplicity 4)
5 F 0.2492 0.2492 0.5000 (multiplicity 8)

Main lines, low angle first (10 to 90 degrees two-theta):
| index | d (Å) | I/Imax |
| --- | --- | --- |
| 1 0 1 | 4.959 | 475 |
| 1 1 2 | 3.147 | 1000 |
| 2 0 0 | 2.847 | 356 |
| 0 0 4 | 2.521 | 290 |
| 2 0 2 | 2.479 | 213 |
| 2 1 1 | 2.469 | 162 |
| 2 2 0 | 2.013 | 330 |
| 2 0 4 | 1.888 | 168 |
| 3 1 2 | 1.696 | 320 |
| 2 2 4 | 1.573 | 242 |

---

Record 9
This entry pairs a crystal structure of FeCoSn4 with its computed powder diffractogram. Radiation: λ = 1.5418 Å (Cu Kα). Structure: a crystal structure in Alexandria, relaxed with PBE.
Intensities are scaled so that the largest is 1000.

Structure:
Unit cell a=6.4304 b=6.4304 c=5.4526 alpha=90.00 beta=90.00 gamma=90.00
Space group I422 (No. 97)
Asymmetric unit:
1 Fe 0.0000 0.0000 0.0000 (multiplicity 2)
2 Co 0.0000 0.0000 0.5000 (multiplicity 2)
3 Sn 0.1656 0.3344 0.2500 (multiplicity 8)

Main lines, low angle first (10 to 90 degrees two-theta):
| index | d (Å) | I/Imax |
| --- | --- | --- |
| 0 0 2 | 2.726 | 149 |
| 2 1 1 | 2.544 | 1000 |
| 1 1 2 | 2.338 | 177 |
| 2 0 2 | 2.079 | 266 |
| 3 1 0 | 2.033 | 261 |
| 2 1 3 | 1.536 | 222 |
| 4 1 1 | 1.499 | 195 |
| 3 3 2 | 1.325 | 182 |
| 4 1 3 | 1.184 | 95 |
| 5 2 1 | 1.166 | 101 |

---

Record 10
This entry pairs a crystal structure of Pm8Ru2Pt with its computed powder diffractogram. Radiation: λ = 1.5418 Å (Cu Kα). Structure: a crystal structure in Alexandria, relaxed with PBE.
Intensities are scaled so that the largest is 1000.

Structure:
Unit cell a=17.8946 b=5.0465 c=6.9436 alpha=90.00 beta=105.49 gamma=90.00
Space group C2/m (No. 12)
Asymmetric unit:
1 Pm 0.0346 0.0000 0.2847 (multiplicity 4)
2 Pm 0.0946 0.5000 0.9538 (multiplicity 4)
3 Pm 0.1704 0.5000 0.4704 (multiplicity 4)
4 Pm 0.2035 0.0000 0.8195 (multiplicity 4)
5 Ru 0.1885 0.0000 0.2102 (multiplicity 4)
6 Pt 0.0000 0.5000 0.5000 (multiplicity 2)

Main lines, low angle first (10 to 90 degrees two-theta):
| index | d (Å) | I/Imax |
| --- | --- | --- |
| 3 1 1 | 3.074 | 277 |
| 2 0 2 | 2.872 | 149 |
| 5 1 -1 | 2.856 | 1000 |
| 5 1 0 | 2.847 | 168 |
| 1 1 2 | 2.661 | 417 |
| 0 2 0 | 2.523 | 501 |
| 5 1 -2 | 2.452 | 252 |
| 6 0 1 | 2.417 | 145 |
| 5 3 -1 | 1.513 | 172 |
| 7 1 3 | 1.411 | 131 |

---

Record 11
This entry pairs a crystal structure of CsMg6CO8 with its computed powder diffractogram. Radiation: λ = 1.5418 Å (Cu Kα). Structure: a crystal structure in Alexandria, relaxed with PBE.
Intensities are scaled so that the largest is 1000.

Structure:
Unit cell a=4.3307 b=4.3307 c=10.6407 alpha=90.00 beta=90.00 gamma=90.00
Space group P4/mmm (No. 123)
Asymmetric unit:
1 Cs 0.0000 0.0000 0.0000 (multiplicity 1)
2 Mg 0.0000 0.0000 0.5000 (multiplicity 1)
3 Mg 0.0000 0.5000 0.3036 (multiplicity 4)
4 Mg 0.5000 0.5000 0.5000 (multiplicity 1)
5 C 0.5000 0.5000 0.0000 (multiplicity 1)
6 O 0.0000 0.0000 0.2982 (multiplicity 2)
7 O 0.0000 0.5000 0.0000 (multiplicity 2)
8 O 0.0000 0.5000 0.5000 (multiplicity 2)
9 O 0.5000 0.5000 0.3023 (multiplicity 2)

Main lines, low angle first (10 to 90 degrees two-theta):
| index | d (Å) | I/Imax |
| --- | --- | --- |
| 0 0 2 | 5.320 | 475 |
| 1 0 0 | 4.331 | 499 |
| 1 0 1 | 4.011 | 844 |
| 0 0 3 | 3.547 | 621 |
| 1 0 2 | 3.359 | 528 |
| 0 0 4 | 2.657 | 940 |
| 2 0 0 | 2.165 | 1000 |
| 2 0 3 | 1.848 | 341 |
| 2 0 4 | 1.679 | 412 |
| 2 2 4 | 1.327 | 318 |

---

Record 12
This entry pairs a crystal structure of Pm4Ga5Ru2 with its computed powder diffractogram. Radiation: λ = 1.5418 Å (Cu Kα). Structure: a crystal structure in Alexandria, relaxed with PBE.
Intensities are scaled so that the largest is 1000.

Structure:
Unit cell a=7.1034 b=4.1454 c=8.6816 alpha=90.00 beta=92.38 gamma=90.00
Space group P2/m (No. 10)
Asymmetric unit:
1 Pm 0.2099 0.0000 0.1613 (multiplicity 2)
2 Pm 0.2467 0.0000 0.6230 (multiplicity 2)
3 Ga 0.1290 0.5000 0.8876 (multiplicity 2)
4 Ga 0.4104 0.5000 0.3685 (multiplicity 2)
5 Ga 0.5000 0.5000 0.0000 (multiplicity 1)
6 Ru 0.0526 0.5000 0.3694 (multiplicity 2)

Main lines, low angle first (10 to 90 degrees two-theta):
| index | d (Å) | I/Imax |
| --- | --- | --- |
| 1 0 0 | 7.097 | 226 |
| 1 0 2 | 3.634 | 222 |
| 1 1 -2 | 2.790 | 1000 |
| 1 1 2 | 2.733 | 817 |
| 2 1 0 | 2.696 | 961 |
| 0 0 4 | 2.169 | 281 |
| 3 0 -2 | 2.114 | 272 |
| 0 2 0 | 2.073 | 418 |
| 3 0 2 | 2.042 | 232 |
| 3 2 -2 | 1.480 | 274 |

---

Record 13
This entry pairs a crystal structure of NaThTeN with its computed powder diffractogram. Radiation: λ = 1.5418 Å (Cu Kα). Structure: a crystal structure in Alexandria, relaxed with PBE.
Intensities are scaled so that the largest is 1000.

Structure:
Unit cell a=3.4763 b=3.4763 c=14.9700 alpha=90.00 beta=90.00 gamma=90.00
Space group I4mm (No. 107)
Asymmetric unit:
1 Na 0.0000 0.0000 0.0000 (multiplicity 2)
2 Th 0.0000 0.0000 0.7064 (multiplicity 2)
3 Te 0.0000 0.0000 0.3689 (multiplicity 2)
4 N 0.0000 0.0000 0.1602 (multiplicity 2)

Main lines, low angle first (10 to 90 degrees two-theta):
| index | d (Å) | I/Imax |
| --- | --- | --- |
| 0 0 2 | 7.485 | 616 |
| 0 0 4 | 3.743 | 143 |
| 1 0 1 | 3.386 | 302 |
| 1 0 3 | 2.852 | 1000 |
| 0 0 6 | 2.495 | 167 |
| 1 1 0 | 2.458 | 389 |
| 1 1 2 | 2.335 | 150 |
| 1 0 5 | 2.269 | 168 |
| 1 1 6 | 1.751 | 234 |
| 2 1 3 | 1.484 | 285 |

---

Record 14
This entry pairs a crystal structure of HfSiMo with its computed powder diffractogram. Radiation: λ = 1.5418 Å (Cu Kα). Structure: a crystal structure in Alexandria, relaxed with PBE.
Intensities are scaled so that the largest is 1000.

Structure:
Unit cell a=6.9615 b=3.4948 c=8.1986 alpha=90.00 beta=90.00 gamma=90.00
Space group Pnma (No. 62)
Asymmetric unit:
1 Hf 0.0439 0.2500 0.1668 (multiplicity 4)
2 Si 0.2434 0.7500 0.3628 (multiplicity 4)
3 Mo 0.1341 0.2500 0.5628 (multiplicity 4)

Main lines, low angle first (10 to 90 degrees two-theta):
| index | d (Å) | I/Imax |
| --- | --- | --- |
| 2 0 0 | 3.481 | 191 |
| 0 1 1 | 3.213 | 273 |
| 1 0 3 | 2.544 | 528 |
| 1 1 2 | 2.484 | 1000 |
| 2 1 0 | 2.466 | 456 |
| 2 1 1 | 2.362 | 558 |
| 3 0 2 | 2.019 | 234 |
| 0 2 0 | 1.747 | 227 |
| 0 1 5 | 1.484 | 202 |
| 1 2 3 | 1.440 | 183 |